# SrPrNiO4
Calculated X-ray powder pattern, CuKα. Input: a cell relaxed with GGA+U.

Largest 10 diffraction maxima, most intense first, 2θ = 10–80°:
31.73°, I 100, (1 0 3); 32.92°, I 73, (1 1 0); 47.25°, I 38, (2 0 0); 58.04°, I 37, (2 1 3); 44.24°, I 28, (1 1 4); 24.21°, I 21, (1 0 1); 43.32°, I 20, (1 0 5); 14.25°, I 15, (0 0 2); 55.76°, I 14, (1 1 6); 66.29°, I 12, (2 0 6)

Cell and atoms:
abc: 3.848 3.848 12.434
angles: 90.00 90.00 90.00
Sites, in units of the cell vectors:
Sr  0.000  0.000  0.000
Sr  0.500  0.500  0.500
Pr  0.000  0.000  0.721
Pr  0.500  0.500  0.221
Ni  0.000  0.000  0.362
Ni  0.500  0.500  0.862
O  0.000  0.000  0.196
O  0.000  0.000  0.530
O  0.000  0.500  0.351
O  0.000  0.500  0.851
O  0.500  0.000  0.351
O  0.500  0.000  0.851
O  0.500  0.500  0.030
O  0.500  0.500  0.696